For SrTlNiP2, DFT lattice parameters and positions (GGA-PBE) gives the computed powder diffraction line list in this record (Cu Kα X-rays).

Structural model:
```
data_SrTlNiP2
_chemical_formula_sum 'Sr1 Tl1 Ni1 P2'
_cell_length_a 5.4764
_cell_length_b 5.4764
_cell_length_c 6.0528
_cell_angle_alpha 90.00
_cell_angle_beta 90.00
_cell_angle_gamma 90.00
_space_group_name_H-M_alt 'P 1'
_space_group_IT_number 1
_space_group_name_Hall 'P 1'
loop_
_atom_site_label
_atom_site_fract_x
_atom_site_fract_y
_atom_site_fract_z
_atom_site_occupancy
Sr1 0.0000 0.0000 0.0000 1
Tl1 0.0000 0.0000 0.5000 1
Ni1 0.5000 0.5000 0.5000 1
P1 0.0000 0.5000 0.0000 1
P2 0.5000 0.0000 0.0000 1
```

Most intense lines, 10 to 90 degrees two-theta, in order of rising 2θ:
2θ/deg, d (Å), Rel. int., (hkl)
16.18, 5.476, 100, 1 0 0
22.97, 3.872, 76, 1 1 0
27.34, 3.262, 68, 1 1 1
29.52, 3.026, 43, 0 0 2
32.70, 2.738, 65, 2 0 0
33.84, 2.649, 34, 1 0 2
36.69, 2.449, 27, 2 1 0
37.72, 2.385, 44, 1 1 2
44.63, 2.030, 54, 2 0 2
56.42, 1.631, 27, 2 2 2